Structure and theoretical powder diffraction line list of Zn2FeP2H8O12 (a DFT-relaxed cell (PBE+U, the Materials Project); Cu Kα).

Atomic structure:
```
Zn2FeP2H8O12
1.0
10.4444 0.0000 0.0000
0.0000 5.1261 0.0000
-5.4514 0.0000 9.2535
Zn Fe P H O
4 2 4 16 24
direct
0.0000 0.1946 0.1439 Zn
0.0000 0.3054 0.6439 Zn
0.0000 0.6946 0.3561 Zn
0.0000 0.8054 0.8561 Zn
0.5000 0.0000 0.0000 Fe
0.5000 0.5000 0.5000 Fe
0.1909 0.7160 0.1922 P
0.1909 0.7840 0.6922 P
0.8091 0.2160 0.3078 P
0.8091 0.2840 0.8078 P
0.2604 0.1126 0.0339 H
0.2604 0.3874 0.5339 H
0.3180 0.1118 0.5089 H
0.3180 0.3882 0.0089 H
0.4410 0.0499 0.3376 H
0.4410 0.4501 0.8376 H
0.4549 0.7163 0.2034 H
0.4549 0.7837 0.7034 H
0.5451 0.2163 0.2966 H
0.5451 0.2837 0.7966 H
0.5590 0.5499 0.1624 H
0.5590 0.9501 0.6624 H
0.6820 0.6118 0.9911 H
0.6820 0.8882 0.4911 H
0.7396 0.6126 0.4661 H
0.7396 0.8874 0.9661 H
0.0879 0.6498 0.7437 O
0.0879 0.8502 0.2437 O
0.1498 0.0715 0.6565 O
0.1498 0.4285 0.1565 O
0.1621 0.6285 0.5554 O
0.1621 0.8715 0.0554 O
0.3170 0.2003 0.9938 O
0.3170 0.2997 0.4938 O
0.3573 0.7459 0.3088 O
0.3573 0.7541 0.8088 O
0.4877 0.6988 0.1320 O
0.4877 0.8012 0.6320 O
0.5123 0.1988 0.3680 O
0.5123 0.3012 0.8680 O
0.6427 0.2459 0.1912 O
0.6427 0.2541 0.6912 O
0.6830 0.7003 0.5062 O
0.6830 0.7997 0.0062 O
0.8379 0.1285 0.9446 O
0.8379 0.3715 0.4446 O
0.8502 0.5715 0.8435 O
0.8502 0.9285 0.3435 O
0.9121 0.1498 0.7563 O
0.9121 0.3502 0.2563 O
```

Peak list (12 most intense, 2θ = 10–90°, most intense first)
h k l  2θ (°)  I_rel
2 0 0  19.76  100
3 1 -2  31.35  86
1 1 2  31.18  84
2 1 -2  26.04  54
1 0 2  25.73  53
3 1 -3  34.10  47
2 0 -2  19.31  35
1 1 0  19.93  33
3 1 2  47.14  31
2 2 -4  49.14  27
0 2 2  40.20  25
0 2 0  35.00  24